The following is a computed powder diffractogram of Li2Fe2C4Cl2O13. It was derived from a cell relaxed with GGA+U, using Cu Kα X-rays.
Peak positions follow from Bragg's law for the DFT cell and can differ from measured ones.

Peak list (12 most intense, 2θ from 10° to 80°, by intensity)
| two_theta | I/Imax |
| --- | --- |
| 12.77 | 100.0 |
| 19.30 | 27.8 |
| 28.39 | 21.5 |
| 33.49 | 19.3 |
| 22.57 | 15.7 |
| 36.07 | 13.0 |
| 25.71 | 9.3 |
| 47.81 | 8.6 |
| 14.28 | 7.8 |
| 42.33 | 7.4 |
| 37.43 | 7.2 |
| 25.63 | 6.7 |

Crystal structure
Cell: 12.5820 8.3904 13.9216 Å, 63.04 36.47 80.49°
Sites, in units of the cell vectors:
Li (0.3448, 0.6552, 0.5239)
Li (0.6552, 0.3448, 0.4761)
Li (0.7261, 0.7739, 0.9052)
Li (0.7739, 0.7261, 0.5948)
Fe (0.2299, 0.2929, 0.8676)
Fe (0.2929, 0.2299, 0.6096)
Fe (0.3824, 0.6404, 0.0201)
Fe (0.6404, 0.3824, 0.9571)
C (0.0296, 0.4148, 0.6993)
C (0.2058, 0.9046, 0.0098)
C (0.2402, 0.3703, 0.0442)
C (0.3703, 0.2402, 0.3454)
C (0.3937, 0.5507, 0.8352)
C (0.4148, 0.0296, 0.8563)
C (0.5507, 0.3937, 0.2204)
C (0.9046, 0.2058, 0.8797)
Cl (0.2573, 0.6200, 0.2657)
Cl (0.3931, 0.9843, 0.6300)
Cl (0.6200, 0.2573, 0.8569)
Cl (0.9843, 0.3931, 0.9927)
O (0.1046, 0.9966, 0.0286)
O (0.1380, 0.8456, 0.4646)
O (0.1453, 0.7986, 0.6091)
O (0.1515, 0.2322, 0.0912)
O (0.1588, 0.7249, 0.0985)
O (0.2092, 0.4699, 0.5659)
O (0.2214, 0.3798, 0.1454)
O (0.2322, 0.1515, 0.5251)
O (0.3778, 0.3778, 0.6222)
O (0.3798, 0.2214, 0.2534)
O (0.4071, 0.5467, 0.7362)
O (0.4699, 0.2092, 0.7550)
O (0.4950, 0.6841, 0.7801)
O (0.5138, 0.9400, 0.8429)
O (0.5467, 0.4071, 0.3100)
O (0.6278, 0.6278, 0.8722)
O (0.6409, 0.8030, 0.1047)
O (0.6841, 0.4950, 0.0408)
O (0.6981, 0.7854, 0.4044)
O (0.7249, 0.1588, 0.0178)
O (0.7854, 0.6981, 0.1120)
O (0.7986, 0.1453, 0.4470)
O (0.8030, 0.6409, 0.4514)
O (0.8456, 0.1380, 0.5519)
O (0.9400, 0.5138, 0.7033)
O (0.9966, 0.1046, 0.8702)